Record 1
LiMg14Cd: theoretical powder diffraction line list (CuKα), based on a structure optimized by DFT (PBE).

Top 10 peaks for 10° ≤ 2θ ≤ 90°, most intense first:
d (Å)	2θ/deg	Rel. int.
2.426	37.1	100
4.852	18.3	41
2.576	34.8	26
2.750	32.6	25
1.352	69.6	19
1.457	63.9	19
1.588	58.1	17
1.880	48.4	16
1.328	70.9	14
3.034	29.4	13

Crystal structure
Unit cell a=6.3504 b=6.3504 c=10.3059 alpha=90.00 beta=90.00 gamma=120.00
Element x y z (fractional)
Li 0.0000 0.0000 0.0000
Mg 0.0000 0.5000 0.0000
Mg 0.1659 0.3318 0.2503
Mg 0.1659 0.3318 0.7497
Mg 0.1659 0.8341 0.2503
Mg 0.1659 0.8341 0.7497
Mg 0.5000 0.0000 0.0000
Mg 0.5000 0.5000 0.0000
Mg 0.5005 0.0011 0.5000
Mg 0.5005 0.4995 0.5000
Mg 0.6667 0.3333 0.2492
Mg 0.6667 0.3333 0.7508
Mg 0.6682 0.8341 0.2503
Mg 0.6682 0.8341 0.7497
Mg 0.9989 0.4995 0.5000
Cd 0.0000 0.0000 0.5000

=====

Record 2
YMg2Sc: theoretical powder diffraction line list (CuKα), based on a structure optimized by DFT (PBE).

Top 10 peaks for 10° ≤ 2θ ≤ 90°, most intense first:
d (Å)	2θ/deg	Rel. int.
2.621	34.2	100
1.513	61.3	34
3.706	24.0	26
1.853	49.2	17
4.280	20.8	14
1.172	82.3	14
1.310	72.1	10
1.658	55.4	9
2.235	40.4	8
2.140	42.2	7

Crystal structure
Unit cell a=5.2416 b=5.2416 c=5.2416 alpha=60.00 beta=60.00 gamma=60.00
Element x y z (fractional)
Y 0.0000 0.0000 0.0000
Mg 0.2500 0.2500 0.2500
Mg 0.7500 0.7500 0.7500
Sc 0.5000 0.5000 0.5000